Starting from a cell relaxed with PBE, the powder X-ray diffraction pattern of Pm2PrHg6 was computed for Cu Kα (λ = 1.5418 Å).
Intensities are scaled so that the largest is 100.

Cell and atoms:
```
data_Pm2PrHg6
_cell_length_a 8.7504
_cell_length_b 8.7504
_cell_length_c 3.4891
_cell_angle_alpha 90.00
_cell_angle_beta 90.00
_cell_angle_gamma 120.00
_symmetry_space_group_name_H-M 'P 6/m m m'
_symmetry_Int_Tables_number 191
_symmetry_space_group_name_Hall '-P 6 2'
loop_
_atom_site_label
_atom_site_type_symbol
_atom_site_fract_x
_atom_site_fract_y
_atom_site_fract_z
_atom_site_occupancy
Pm1 Pm 0.3333 0.6667 0.0000 1
Pr1 Pr 0.0000 0.0000 0.0000 1
Hg1 Hg 0.0000 0.3344 0.5000 1
```

Principal peaks in the range 10 to 90 degrees two-theta, most intense first:
d [Å], I_rel
2.526, 100.0
2.728, 98.8
1.435, 35.3
1.853, 32.2
1.494, 32.1
2.046, 24.3

=====

Starting from a cell relaxed with PBE, the powder X-ray diffraction pattern of PmPr4Hg2 was computed for Cu Kα (λ = 1.5418 Å).
Intensities are scaled so that the largest is 100.

Cell and atoms:
```
data_PmPr4Hg2
_cell_length_a 6.325
_cell_length_b 8.744
_cell_length_c 9.587
_cell_angle_alpha 64.97
_cell_angle_beta 73.80
_cell_angle_gamma 69.76
_symmetry_space_group_name_H-M 'P 1'
_symmetry_Int_Tables_number 1
loop_
_symmetry_equiv_pos_as_xyz
'x,y,z'
loop_
_atom_site_label
_atom_site_type_symbol
_atom_site_fract_x
_atom_site_fract_y
_atom_site_fract_z
_atom_site_occupancy
Pm1 Pm 0.000 0.000 0.000 1
Pm2 Pm 0.404 0.243 0.896 1
Pr1 Pr 0.083 0.213 0.298 1
Pr2 Pr 0.374 0.724 0.775 1
Pr3 Pr 0.536 0.791 0.136 1
Pr4 Pr 0.548 0.425 0.473 1
Pr5 Pr 0.572 0.373 0.117 1
Pr6 Pr 0.690 0.930 0.392 1
Pr7 Pr 0.786 0.964 0.716 1
Pr8 Pr 0.915 0.475 0.696 1
Hg1 Hg 0.067 0.598 0.294 1
Hg2 Hg 0.202 0.795 0.467 1
Hg3 Hg 0.248 0.137 0.624 1
Hg4 Hg 0.982 0.559 0.987 1
```

Principal peaks in the range 10 to 90 degrees two-theta, most intense first:
d [Å], I_rel
2.847, 100.0
2.651, 85.4
2.936, 82.5
2.876, 78.9
2.836, 76.9
2.745, 60.9

=====

Starting from a cell relaxed with PBE, the powder X-ray diffraction pattern of PmPr3Hg2 was computed for Cu Kα (λ = 1.5418 Å).
Intensities are scaled so that the largest is 100.

Cell and atoms:
```
data_PmPr3Hg2
_cell_length_a 5.328
_cell_length_b 9.726
_cell_length_c 7.199
_cell_angle_alpha 90.00
_cell_angle_beta 90.00
_cell_angle_gamma 90.00
_symmetry_space_group_name_H-M 'P m c 21'
_symmetry_Int_Tables_number 26
loop_
_symmetry_equiv_pos_as_xyz
'x,y,z'
'-x,-y,z+1/2'
'-x,y,z'
'x,-y,z+1/2'
loop_
_atom_site_label
_atom_site_type_symbol
_atom_site_fract_x
_atom_site_fract_y
_atom_site_fract_z
_atom_site_occupancy
Pm1 Pm 0.000 0.056 0.000 1
Pr1 Pr 0.000 0.325 0.659 1
Pr2 Pr 0.500 0.172 0.311 1
Pr3 Pr 0.500 0.444 0.972 1
Hg1 Hg 0.000 0.350 0.216 1
Hg2 Hg 0.500 0.148 0.756 1
```

Principal peaks in the range 10 to 90 degrees two-theta, most intense first:
d [Å], I_rel
2.852, 100.0
2.770, 91.1
2.664, 60.1
2.893, 28.8
2.983, 25.3
3.214, 25.0